Diffraction record for Li2Mg2Hg3. The powder XRD pattern is theoretical, not measured: it uses a GGA-PBE-relaxed structure and λ = 1.5418 Å (Cu Kα).
Intensities are scaled so that the largest is 100.

Structural model:
a = 4.7457 Å, b = 4.7457 Å, c = 22.8686 Å
α = 90.00°, β = 90.00°, γ = 120.00°
Space group R3m (No. 160, hexagonal axes)
One atom of each set of equivalent atoms:
Li (0.0000, 0.0000, 0.0000) x3
Li (0.0000, 0.0000, 0.4950) x3
Mg (0.0000, 0.0000, 0.2412) x3
Mg (0.0000, 0.0000, 0.7496) x3
Hg (0.0000, 0.0000, 0.3734) x3
Hg (0.0000, 0.0000, 0.6213) x3
Hg (0.0000, 0.0000, 0.8712) x3

Largest 10 diffraction maxima, by angle, 10 to 90 degrees two-theta:
11.61°, d 7.623, I 26.6
21.97°, d 4.045, I 22.5
23.00°, d 3.868, I 20.4
26.71°, d 3.337, I 100.0
37.92°, d 2.373, I 61.7
38.36°, d 2.347, I 59.4
46.99°, d 1.934, I 22.6
55.04°, d 1.669, I 21.1
61.90°, d 1.499, I 20.2
68.78°, d 1.365, I 21.8